No. 1
Structure and simulated powder X-ray diffraction pattern of Cr3Mo2C4 (a cell relaxed with PBE; Cu Ka).
Peak positions follow from Bragg's law for the DFT cell and can differ from measured ones.

Top 10 peaks for 5° ≤ 2θ ≤ 70°, in order of rising 2θ:
Position (°2θ)	intensity
7.6	34.1
30.6	9.0
35.0	8.2
37.0	100.0
38.6	27.0
39.2	10.1
43.5	93.1
57.2	7.4
62.1	30.8
64.2	22.1

Structural model:
abc: 11.7963 11.7963 11.7963
angles: 14.56 14.56 14.56
Atoms (fractional coordinates):
Cr1 0.0000 0.0000 0.0000
Cr2 0.2086 0.2086 0.2086
Cr3 0.6017 0.6017 0.6017
Mo1 0.4047 0.4047 0.4047
Mo2 0.8097 0.8097 0.8097
C1 0.1102 0.1102 0.1102
C2 0.3010 0.3010 0.3010
C3 0.7012 0.7012 0.7012
C4 0.9004 0.9004 0.9004

No. 2
Structure and simulated powder X-ray diffraction pattern of NdSm2Y2 (a cell relaxed with PBE; Cu Ka).
Peak positions follow from Bragg's law for the DFT cell and can differ from measured ones.

Top 10 peaks for 5° ≤ 2θ ≤ 70°, in order of rising 2θ:
Position (°2θ)	intensity
27.4	39.7
30.0	20.7
30.6	51.5
31.1	85.5
33.8	100.0
41.5	29.1
51.1	22.1
56.4	23.3
60.8	26.1
61.5	23.8

Structural model:
abc: 9.4599 9.4599 9.4599
angles: 144.03 136.00 58.08
Atoms (fractional coordinates):
Nd1 0.3687 0.1187 0.2500
Nd2 0.6313 0.8813 0.7500
Sm1 0.1863 0.6907 0.4956
Sm2 0.3049 0.3093 0.9956
Sm3 0.6951 0.6907 0.0044
Sm4 0.8137 0.3093 0.5044
Y1 0.1372 0.8872 0.2500
Y2 0.2530 0.5030 0.7500
Y3 0.7470 0.4970 0.2500
Y4 0.8628 0.1128 0.7500

No. 3
Structure and simulated powder X-ray diffraction pattern of CuTe (a cell relaxed with PBE; Cu Ka).
Peak positions follow from Bragg's law for the DFT cell and can differ from measured ones.

Top 10 peaks for 5° ≤ 2θ ≤ 70°, in order of rising 2θ:
Position (°2θ)	intensity
27.1	39.0
27.9	40.9
29.4	46.1
31.5	22.0
33.0	79.0
33.5	14.2
44.8	100.0
46.4	35.3
48.4	21.4
55.9	16.7

Structural model:
abc: 6.7013 6.7013 6.7013
angles: 146.02 65.33 126.02
Atoms (fractional coordinates):
Cu1 0.0000 0.0000 0.0000
Cu2 0.5265 0.7008 0.8256
Cu3 0.8752 0.7008 0.1744
Te1 0.0891 0.2669 0.8222
Te2 0.4447 0.2669 0.1778
Te3 0.7046 0.2046 0.5000

No. 4
Structure and simulated powder X-ray diffraction pattern of LiPaTcN4 (a cell relaxed with PBE; Cu Ka).
Peak positions follow from Bragg's law for the DFT cell and can differ from measured ones.

Top 10 peaks for 5° ≤ 2θ ≤ 70°, in order of rising 2θ:
Position (°2θ)	intensity
17.4	61.3
22.8	100.0
31.5	37.9
32.8	79.8
34.1	30.9
38.5	17.8
39.3	50.1
42.2	24.4
47.1	36.7
55.3	22.3

Structural model:
abc: 6.4456 6.4456 5.2643
angles: 90.00 90.00 127.74
Atoms (fractional coordinates):
Li1 0.1041 0.8959 0.7500
Li2 0.8959 0.1041 0.2500
Pa1 0.3862 0.6138 0.7500
Pa2 0.6138 0.3862 0.2500
Tc1 0.2204 0.7796 0.2500
Tc2 0.7796 0.2204 0.7500
N1 0.0000 0.5000 0.0000
N2 0.0000 0.5000 0.5000
N3 0.0671 0.9329 0.2500
N4 0.4375 0.5625 0.2500
N5 0.5000 0.0000 0.0000
N6 0.5000 0.0000 0.5000
N7 0.5625 0.4375 0.7500
N8 0.9329 0.0671 0.7500